This entry pairs a crystal structure of TcPb2O6 with its theoretical XRD peak list. Radiation: Cu Kα (weighted mean of Kα1 and Kα2). Structure: a crystal structure in Alexandria, relaxed with GGA-PBE.
No peak broadening, texture or thermal motion is included.

Cell and atoms:
```
TcPb2O6
1.0
5.0918 0.0000 0.0000
0.0000 5.0918 0.0000
0.0000 0.0000 10.2556
Tc Pb O
2 4 12
Direct
0.0000 0.0000 0.0000 Tc
0.5000 0.5000 0.5000 Tc
0.0000 0.0000 0.3326 Pb
0.0000 0.0000 0.6674 Pb
0.5000 0.5000 0.1674 Pb
0.5000 0.5000 0.8326 Pb
0.1795 0.1795 0.1407 O
0.1795 0.1795 0.8593 O
0.2346 0.2346 0.5000 O
0.2654 0.7346 0.0000 O
0.3205 0.6795 0.3593 O
0.3205 0.6795 0.6407 O
0.6795 0.3205 0.3593 O
0.6795 0.3205 0.6407 O
0.7346 0.2654 0.0000 O
0.7654 0.7654 0.5000 O
0.8205 0.8205 0.1407 O
0.8205 0.8205 0.8593 O
```

Largest 10 diffraction maxima, by angle, 10 to 80 degrees two-theta:
2theta, I/Imax
24.73, 100.0
31.52, 91.8
35.25, 28.1
48.01, 69.7
50.71, 16.8
57.21, 17.8
59.90, 17.4
60.94, 19.6
65.81, 10.8
72.40, 17.3